Structure and simulated powder diffractogram of Ba4PtI4 (a cell relaxed with GGA-PBE; Cu Kα X-rays).
Intensities are scaled so that the largest is 100.

Structural model:
```
Ba4PtI4
1.0
8.7015 -2.4075 0.0000
8.7015 2.4075 0.0000
-6.3571 0.0000 10.3384
Ba Pt I
4 1 4
Direct
0.0764 0.0764 0.3988 Ba
0.3231 0.3231 0.2378 Ba
0.6769 0.6769 0.7622 Ba
0.9236 0.9236 0.6012 Ba
0.5000 0.5000 0.5000 Pt
0.1177 0.1177 0.9186 I
0.2966 0.2966 0.6894 I
0.7034 0.7034 0.3106 I
0.8823 0.8823 0.0814 I
```

Largest 12 diffraction maxima, sorted by position, 2θ = 10–90°:
- 2θ 10.4, d = 8.486 Å, I 23
- 2θ 25.3, d = 3.525 Å, I 100
- 2θ 25.7, d = 3.472 Å, I 41
- 2θ 34.7, d = 2.587 Å, I 20
- 2θ 35.6, d = 2.525 Å, I 31
- 2θ 37.1, d = 2.425 Å, I 32
- 2θ 37.4, d = 2.408 Å, I 19
- 2θ 42.3, d = 2.135 Å, I 9
- 2θ 44.9, d = 2.018 Å, I 9
- 2θ 45.9, d = 1.978 Å, I 17
- 2θ 51.9, d = 1.762 Å, I 12
- 2θ 60.4, d = 1.533 Å, I 13


Structure and simulated powder diffractogram of Tb4NdSmSe8 (a cell relaxed with GGA-PBE; Cu Kα X-rays).
Intensities are scaled so that the largest is 100.

Structural model:
```
Tb4NdSmSe8
1.0
4.2525 2.4552 6.9832
-4.2525 2.4552 6.9832
0.0000 -4.9103 6.9832
Tb Nd Sm Se
4 1 1 8
Direct
0.0000 0.0000 0.0000 Tb
0.3736 0.3736 0.8765 Tb
0.3736 0.8765 0.3736 Tb
0.8765 0.3736 0.3736 Tb
0.7483 0.7483 0.7483 Nd
0.3736 0.3736 0.3736 Sm
0.1281 0.1281 0.6050 Se
0.1281 0.6050 0.1281 Se
0.1319 0.1319 0.1319 Se
0.1533 0.6173 0.6173 Se
0.6050 0.1281 0.1281 Se
0.6132 0.6132 0.6132 Se
0.6173 0.1533 0.6173 Se
0.6173 0.6173 0.1533 Se
```

Largest 12 diffraction maxima, sorted by position, 2θ = 10–90°:
- 2θ 12.7, d = 6.960 Å, I 18
- 2θ 20.8, d = 4.261 Å, I 37
- 2θ 24.5, d = 3.635 Å, I 100
- 2θ 24.5, d = 3.627 Å, I 34
- 2θ 29.7, d = 3.013 Å, I 72
- 2θ 38.8, d = 2.323 Å, I 21
- 2θ 38.9, d = 2.318 Å, I 51
- 2θ 42.4, d = 2.134 Å, I 71
- 2θ 42.5, d = 2.126 Å, I 71
- 2θ 59.0, d = 1.566 Å, I 16
- 2θ 61.6, d = 1.506 Å, I 23
- 2θ 77.7, d = 1.229 Å, I 22


Structure and simulated powder diffractogram of K4Rb2GaAs2 (a cell relaxed with GGA-PBE; Cu Kα X-rays).
Intensities are scaled so that the largest is 100.

Structural model:
```
K4Rb2GaAs2
1.0
8.1376 -6.7640 0.0000
8.1376 6.7640 0.0000
-1.0662 0.0000 4.9948
K Rb Ga As
4 2 1 2
Direct
0.0234 0.7062 0.9549 K
0.2938 0.9766 0.0451 K
0.7062 0.0234 0.9549 K
0.9766 0.2938 0.0451 K
0.3621 0.3621 0.6336 Rb
0.6379 0.6379 0.3664 Rb
0.0000 0.0000 0.5000 Ga
0.1434 0.1434 0.5506 As
0.8566 0.8566 0.4494 As
```

Largest 12 diffraction maxima, sorted by position, 2θ = 10–90°:
- 2θ 13.1, d = 6.764 Å, I 100
- 2θ 18.7, d = 4.754 Å, I 18
- 2θ 22.1, d = 4.018 Å, I 89
- 2θ 22.3, d = 3.979 Å, I 41
- 2θ 22.7, d = 3.913 Å, I 17
- 2θ 25.9, d = 3.434 Å, I 27
- 2θ 26.4, d = 3.374 Å, I 62
- 2θ 32.0, d = 2.800 Å, I 42
- 2θ 35.8, d = 2.506 Å, I 32
- 2θ 37.1, d = 2.425 Å, I 20
- 2θ 40.0, d = 2.255 Å, I 20
- 2θ 41.6, d = 2.173 Å, I 16


Structure and simulated powder diffractogram of TmFeNi (a cell relaxed with GGA-PBE; Cu Kα X-rays).
Intensities are scaled so that the largest is 100.

Structural model:
```
TmFeNi
1.0
-2.4654 2.5760 3.6377
2.4654 -2.5760 3.6377
2.4654 2.5760 -3.6377
Tm Fe Ni
2 2 2
Direct
0.3715 0.1215 0.2500 Tm
0.6285 0.8785 0.7500 Tm
0.0000 0.0000 0.5000 Fe
0.0000 0.5000 0.0000 Fe
0.0000 0.5000 0.5000 Ni
0.5000 0.5000 0.0000 Ni
```

Largest 12 diffraction maxima, sorted by position, 2θ = 10–90°:
- 2θ 21.1, d = 4.205 Å, I 17
- 2θ 21.8, d = 4.082 Å, I 16
- 2θ 34.8, d = 2.576 Å, I 21
- 2θ 35.3, d = 2.545 Å, I 88
- 2θ 36.4, d = 2.465 Å, I 22
- 2θ 41.1, d = 2.194 Å, I 35
- 2θ 41.5, d = 2.178 Å, I 100
- 2θ 42.5, d = 2.127 Å, I 57
- 2θ 62.7, d = 1.481 Å, I 17
- 2θ 64.8, d = 1.438 Å, I 15
- 2θ 69.0, d = 1.361 Å, I 21
- 2θ 74.6, d = 1.273 Å, I 28